Er3Ge13Ir4: simulated powder diffraction line list (Cu Ka), based on a DFT-relaxed cell (GGA-PBE, the Materials Project).
Lines closer than 0.1° are merged.

Largest 6 diffraction maxima, by angle, 2θ from 10° to 80°:
d = 4.516 Å, I = 44, hkl 2 0 0; d = 2.608 Å, I = 56, hkl 2 2 2; d = 2.505 Å, I = 100, hkl 3 2 0; d = 2.414 Å, I = 41, hkl 3 2 1; d = 2.258 Å, I = 54, hkl 4 0 0; d = 1.844 Å, I = 50, hkl 4 2 2

Crystal structure
```
data_Er3Ge13Ir4
_chemical_formula_sum 'Er6 Ge26 Ir8'
_cell_length_a 9.0330
_cell_length_b 9.0330
_cell_length_c 9.0330
_cell_angle_alpha 90.00
_cell_angle_beta 90.00
_cell_angle_gamma 90.00
_symmetry_space_group_name_H-M 'P m -3 n'
_symmetry_Int_Tables_number 223
_symmetry_space_group_name_Hall '-P 4n 2 3'
loop_
_atom_site_label
_atom_site_fract_x
_atom_site_fract_y
_atom_site_fract_z
Er1 0.0000 0.2500 0.5000
Ge1 0.0000 0.0000 0.0000
Ge2 0.0000 0.3096 0.1460
Ir1 0.2500 0.2500 0.2500
```

SmCu5Sn: simulated powder diffraction line list (Cu Ka), based on a DFT-relaxed cell (GGA-PBE, the Materials Project).
Lines closer than 0.1° are merged.

Largest 6 diffraction maxima, by angle, 2θ from 10° to 80°:
d = 2.516 Å, I = 88, hkl 0 2 0; d = 2.365 Å, I = 76, hkl 2 1 3; d = 2.354 Å, I = 100, hkl 3 1 1; d = 2.105 Å, I = 37, hkl 2 2 1; d = 2.035 Å, I = 50, hkl 2 1 4; d = 1.987 Å, I = 47, hkl 1 2 3

Crystal structure
```
data_SmCu5Sn
_chemical_formula_sum 'Sm4 Cu20 Sn4'
_cell_length_a 8.2557
_cell_length_b 5.0305
_cell_length_c 10.5656
_cell_angle_alpha 90.00
_cell_angle_beta 90.00
_cell_angle_gamma 90.00
_symmetry_space_group_name_H-M 'P n m a'
_symmetry_Int_Tables_number 62
_symmetry_space_group_name_Hall '-P 2ac 2n'
loop_
_atom_site_label
_atom_site_fract_x
_atom_site_fract_y
_atom_site_fract_z
Sm1 0.2463 0.2500 0.0612
Cu1 0.0599 0.7500 0.1035
Cu2 0.0658 0.0017 0.3126
Cu3 0.0858 0.2500 0.5169
Cu4 0.1853 0.2500 0.7456
Sn1 0.1409 0.7500 0.8605
```

SiO2: simulated powder diffraction line list (Cu Ka), based on a DFT-relaxed cell (GGA-PBE, the Materials Project).
Lines closer than 0.1° are merged.

Largest 6 diffraction maxima, by angle, 2θ from 10° to 80°:
d = 6.376 Å, I = 100, hkl 1 1 0; d = 4.509 Å, I = 12, hkl 2 0 0; d = 3.681 Å, I = 42, hkl 2 1 1; d = 3.188 Å, I = 10, hkl 2 2 0; d = 2.603 Å, I = 11, hkl 2 2 2; d = 1.768 Å, I = 13, hkl 4 3 1

Crystal structure
```
data_SiO2
_chemical_formula_sum 'Si12 O24'
_cell_length_a 9.0171
_cell_length_b 9.0171
_cell_length_c 9.0171
_cell_angle_alpha 90.00
_cell_angle_beta 90.00
_cell_angle_gamma 90.00
_symmetry_space_group_name_H-M 'I m -3 m'
_symmetry_Int_Tables_number 229
_symmetry_space_group_name_Hall '-I 4 2 3'
loop_
_atom_site_label
_atom_site_fract_x
_atom_site_fract_y
_atom_site_fract_z
Si1 0.0000 0.2500 0.5000
O1 0.0000 0.3524 0.3524
```

CaMg6CuO8: simulated powder diffraction line list (Cu Ka), based on a DFT-relaxed cell (GGA-PBE, the Materials Project).
Lines closer than 0.1° are merged.

Largest 6 diffraction maxima, by angle, 2θ from 10° to 80°:
d = 2.512 Å, I = 35, hkl 1 1 2; d = 2.193 Å, I = 100, hkl 2 0 0; d = 2.140 Å, I = 45, hkl 0 0 4; d = 1.551 Å, I = 29, hkl 2 2 0; d = 1.532 Å, I = 53, hkl 2 0 4; d = 1.256 Å, I = 25, hkl 2 2 4

Crystal structure
```
data_CaMg6CuO8
_chemical_formula_sum 'Ca1 Mg6 Cu1 O8'
_cell_length_a 4.3866
_cell_length_b 4.3866
_cell_length_c 8.5595
_cell_angle_alpha 90.00
_cell_angle_beta 90.00
_cell_angle_gamma 90.00
_symmetry_space_group_name_H-M 'P 4/m m m'
_symmetry_Int_Tables_number 123
_symmetry_space_group_name_Hall '-P 4 2'
loop_
_atom_site_label
_atom_site_fract_x
_atom_site_fract_y
_atom_site_fract_z
Ca1 0.0000 0.0000 0.0000
Mg1 0.0000 0.5000 0.2584
Mg2 0.5000 0.5000 0.0000
Mg3 0.5000 0.5000 0.5000
Cu1 0.0000 0.0000 0.5000
O1 0.0000 0.0000 0.2648
O2 0.0000 0.5000 0.0000
O3 0.0000 0.5000 0.5000
O4 0.5000 0.5000 0.2510
```

Mg5Cd: simulated powder diffraction line list (Cu Ka), based on a DFT-relaxed cell (GGA-PBE, the Materials Project).
Lines closer than 0.1° are merged.

Largest 6 diffraction maxima, by angle, 2θ from 10° to 80°:
d = 7.956 Å, I = 49, hkl 0 0 2; d = 2.727 Å, I = 31, hkl 1 0 0; d = 2.688 Å, I = 23, hkl 1 0 1; d = 2.652 Å, I = 28, hkl 0 0 6; d = 2.425 Å, I = 100, hkl 1 0 3; d = 1.901 Å, I = 21, hkl 1 0 6

Crystal structure
```
data_Mg5Cd
_chemical_formula_sum 'Mg5 Cd1'
_cell_length_a 3.1490
_cell_length_b 3.1490
_cell_length_c 15.9128
_cell_angle_alpha 90.00
_cell_angle_beta 90.00
_cell_angle_gamma 120.00
_symmetry_space_group_name_H-M 'P -6 m 2'
_symmetry_Int_Tables_number 187
_symmetry_space_group_name_Hall 'P -6 2'
loop_
_atom_site_label
_atom_site_fract_x
_atom_site_fract_y
_atom_site_fract_z
Mg1 0.0000 0.0000 0.0000
Mg2 0.0000 0.0000 0.3350
Mg3 0.3333 0.6667 0.1673
Cd1 0.3333 0.6667 0.5000
```

Ba2ErMgSbO6: simulated powder diffraction line list (Cu Ka), based on a DFT-relaxed cell (GGA-PBE, the Materials Project).
Lines closer than 0.1° are merged.

Largest 6 diffraction maxima, by angle, 2θ from 10° to 80°:
d = 4.708 Å, I = 49, hkl 1 1 -1; d = 3.606 Å, I = 28, hkl 1 1 1; d = 3.151 Å, I = 49, hkl 2 0 1; d = 3.107 Å, I = 100, hkl 0 2 0; d = 2.467 Å, I = 25, hkl 2 0 -3; d = 2.242 Å, I = 28, hkl 3 1 1

Crystal structure
```
data_Ba2ErMgSbO6
_chemical_formula_sum 'Ba4 Er2 Mg2 Sb2 O12'
_cell_length_a 10.7648
_cell_length_b 6.2147
_cell_length_c 7.4065
_cell_angle_alpha 90.00
_cell_angle_beta 119.00
_cell_angle_gamma 90.00
_symmetry_space_group_name_H-M 'C 1 m 1'
_symmetry_Int_Tables_number 8
_symmetry_space_group_name_Hall 'C -2y'
loop_
_atom_site_label
_atom_site_fract_x
_atom_site_fract_y
_atom_site_fract_z
Ba1 0.0000 0.0000 0.0000
Ba2 0.0484 0.5000 0.6451
Er1 0.3219 0.5000 0.4662
Mg1 0.2265 0.0000 0.6794
Sb1 0.3755 0.0000 0.1274
O1 0.0550 0.0000 0.6949
O2 0.0833 0.5000 0.2825
O3 0.3200 0.2650 0.6953
O4 0.3481 0.2346 0.2808
```

SrEu3: simulated powder diffraction line list (Cu Ka), based on a DFT-relaxed cell (GGA-PBE, the Materials Project).
Lines closer than 0.1° are merged.

Largest 6 diffraction maxima, by angle, 2θ from 10° to 80°:
d = 3.186 Å, I = 100, hkl 2 2 0; d = 2.253 Å, I = 19, hkl 4 0 0; d = 1.839 Å, I = 41, hkl 4 2 2; d = 1.593 Å, I = 13, hkl 4 4 0; d = 1.425 Å, I = 18, hkl 6 2 0; d = 1.204 Å, I = 21, hkl 6 4 2

Crystal structure
```
data_SrEu3
_chemical_formula_sum 'Sr4 Eu12'
_cell_length_a 9.0109
_cell_length_b 9.0109
_cell_length_c 9.0109
_cell_angle_alpha 90.00
_cell_angle_beta 90.00
_cell_angle_gamma 90.00
_symmetry_space_group_name_H-M 'F m -3 m'
_symmetry_Int_Tables_number 225
_symmetry_space_group_name_Hall '-F 4 2 3'
loop_
_atom_site_label
_atom_site_fract_x
_atom_site_fract_y
_atom_site_fract_z
Sr1 0.0000 0.0000 0.0000
Eu1 0.0000 0.0000 0.5000
Eu2 0.2500 0.2500 0.2500
```

PmDyMg2: simulated powder diffraction line list (Cu Ka), based on a DFT-relaxed cell (GGA-PBE, the Materials Project).
Lines closer than 0.1° are merged.

Largest 6 diffraction maxima, by angle, 2θ from 10° to 80°:
d = 3.823 Å, I = 62, hkl 2 0 0; d = 2.703 Å, I = 100, hkl 2 2 0; d = 2.207 Å, I = 19, hkl 2 2 2; d = 1.911 Å, I = 18, hkl 4 0 0; d = 1.710 Å, I = 26, hkl 4 2 0; d = 1.561 Å, I = 38, hkl 4 2 2

Crystal structure
```
data_PmDyMg2
_chemical_formula_sum 'Pm4 Dy4 Mg8'
_cell_length_a 7.6457
_cell_length_b 7.6457
_cell_length_c 7.6457
_cell_angle_alpha 90.00
_cell_angle_beta 90.00
_cell_angle_gamma 90.00
_symmetry_space_group_name_H-M 'F m -3 m'
_symmetry_Int_Tables_number 225
_symmetry_space_group_name_Hall '-F 4 2 3'
loop_
_atom_site_label
_atom_site_fract_x
_atom_site_fract_y
_atom_site_fract_z
Pm1 0.0000 0.0000 0.0000
Dy1 0.0000 0.0000 0.5000
Mg1 0.2500 0.2500 0.2500
```

CsSnCl3: simulated powder diffraction line list (Cu Ka), based on a DFT-relaxed cell (GGA-PBE, the Materials Project).
Lines closer than 0.1° are merged.

Largest 6 diffraction maxima, by angle, 2θ from 10° to 80°:
d = 3.977 Å, I = 100, hkl 1 1 0; d = 2.812 Å, I = 59, hkl 2 0 0; d = 2.296 Å, I = 48, hkl 2 1 1; d = 1.989 Å, I = 41, hkl 2 2 0; d = 1.779 Å, I = 23, hkl 3 1 0; d = 1.503 Å, I = 27, hkl 3 2 1

Crystal structure
```
data_CsSnCl3
_chemical_formula_sum 'Cs1 Sn1 Cl3'
_cell_length_a 5.6249
_cell_length_b 5.6249
_cell_length_c 5.6249
_cell_angle_alpha 90.00
_cell_angle_beta 90.00
_cell_angle_gamma 90.00
_symmetry_space_group_name_H-M 'P m -3 m'
_symmetry_Int_Tables_number 221
_symmetry_space_group_name_Hall '-P 4 2 3'
loop_
_atom_site_label
_atom_site_fract_x
_atom_site_fract_y
_atom_site_fract_z
Cs1 0.0000 0.0000 0.0000
Sn1 0.5000 0.5000 0.5000
Cl1 0.0000 0.5000 0.5000
```

CuBr2: simulated powder diffraction line list (Cu Ka), based on a DFT-relaxed cell (GGA-PBE, the Materials Project).
Lines closer than 0.1° are merged.

Largest 6 diffraction maxima, by angle, 2θ from 10° to 80°:
d = 7.837 Å, I = 100, hkl 0 0 2; d = 4.613 Å, I = 11, hkl 1 0 1; d = 3.918 Å, I = 20, hkl 0 0 4; d = 2.414 Å, I = 11, hkl 2 0 0; d = 2.307 Å, I = 19, hkl 2 0 2; d = 2.055 Å, I = 14, hkl 2 0 4

Crystal structure
```
data_CuBr2
_chemical_formula_sum 'Cu2 Br4'
_cell_length_a 4.8273
_cell_length_b 4.8273
_cell_length_c 15.6734
_cell_angle_alpha 90.00
_cell_angle_beta 90.00
_cell_angle_gamma 90.00
_symmetry_space_group_name_H-M 'I 4/m m m'
_symmetry_Int_Tables_number 139
_symmetry_space_group_name_Hall '-I 4 2'
loop_
_atom_site_label
_atom_site_fract_x
_atom_site_fract_y
_atom_site_fract_z
Cu1 0.0000 0.0000 0.0000
Br1 0.0000 0.5000 0.0000
```